[1]
Na2Ag5S4: computed X-ray powder pattern (copper Kα), based on a PBE-relaxed structure.

Lattice parameters (Å, degrees): 9.3833 7.2486 7.1950 81.03 49.73 49.24
Atoms (fractional coordinates):
Na 0.1828 0.1828 0.8172
Na 0.8172 0.8172 0.1828
Ag 0.0000 0.0000 0.5000
Ag 0.2500 0.2500 0.2500
Ag 0.5000 0.5000 0.0000
Ag 0.5000 0.5000 0.5000
Ag 0.7500 0.7500 0.7500
S 0.2327 0.5005 0.4995
S 0.4995 0.7673 0.2327
S 0.5005 0.2327 0.7673
S 0.7673 0.4995 0.5005

Top 10 peaks for 2θ from 5° to 70°, sorted by position:
| two_theta | Rel. int. |
| --- | --- |
| 13.40 | 1000 |
| 18.20 | 537 |
| 26.75 | 386 |
| 27.00 | 484 |
| 30.04 | 347 |
| 32.65 | 314 |
| 34.25 | 814 |
| 38.37 | 759 |
| 41.69 | 283 |
| 43.98 | 714 |


[2]
PuAlSnO6: computed X-ray powder pattern (copper Kα), based on a PBE-relaxed structure.

Lattice parameters (Å, degrees): 5.2292 5.2292 9.0249 90.00 90.00 120.00
Atoms (fractional coordinates):
Pu 0.3333 0.6667 0.2500
Pu 0.6667 0.3333 0.7500
Al 0.3333 0.6667 0.7500
Al 0.6667 0.3333 0.2500
Sn 0.0000 0.0000 0.0000
Sn 0.0000 0.0000 0.5000
O 0.0287 0.3521 0.6310
O 0.0287 0.6766 0.8690
O 0.3234 0.3521 0.8690
O 0.3234 0.9713 0.6310
O 0.3521 0.0287 0.1310
O 0.3521 0.3234 0.3690
O 0.6479 0.6766 0.6310
O 0.6479 0.9713 0.8690
O 0.6766 0.0287 0.3690
O 0.6766 0.6479 0.1310
O 0.9713 0.3234 0.1310
O 0.9713 0.6479 0.3690

Top 10 peaks for 2θ from 5° to 70°, sorted by position:
| two_theta | Rel. int. |
| --- | --- |
| 21.96 | 807 |
| 27.91 | 1000 |
| 34.30 | 514 |
| 35.84 | 281 |
| 41.10 | 208 |
| 44.78 | 284 |
| 53.66 | 475 |
| 54.57 | 171 |
| 57.59 | 275 |
| 61.42 | 184 |


[3]
TmHf3: computed X-ray powder pattern (copper Kα), based on a PBE-relaxed structure.

Lattice parameters (Å, degrees): 3.2572 5.1278 5.7029 90.00 90.00 90.00
Atoms (fractional coordinates):
Tm 0.0000 0.0000 0.0000
Hf 0.0000 0.5000 0.6598
Hf 0.5000 0.0000 0.5012
Hf 0.5000 0.5000 0.1847

Top 10 peaks for 2θ from 5° to 70°, sorted by position:
| two_theta | Rel. int. |
| --- | --- |
| 31.63 | 258 |
| 35.00 | 375 |
| 36.04 | 532 |
| 36.27 | 1000 |
| 47.89 | 167 |
| 56.01 | 191 |
| 63.60 | 198 |
| 67.78 | 216 |
| 68.25 | 181 |
| 68.87 | 163 |


[4]
SrNi13: computed X-ray powder pattern (copper Kα), based on a PBE-relaxed structure.

Lattice parameters (Å, degrees): 7.9889 7.9889 7.9889 60.00 60.00 60.00
Atoms (fractional coordinates):
Sr 0.2500 0.2500 0.2500
Sr 0.7500 0.7500 0.7500
Ni 0.0000 0.0000 0.0000
Ni 0.0644 0.2948 0.7052
Ni 0.0644 0.7052 0.9356
Ni 0.0644 0.9356 0.2948
Ni 0.2052 0.4356 0.7948
Ni 0.2052 0.5644 0.4356
Ni 0.2052 0.7948 0.5644
Ni 0.2948 0.0644 0.9356
Ni 0.2948 0.7052 0.0644
Ni 0.2948 0.9356 0.7052
Ni 0.4356 0.2052 0.5644
Ni 0.4356 0.5644 0.7948
Ni 0.4356 0.7948 0.2052
Ni 0.5000 0.5000 0.5000
Ni 0.5644 0.2052 0.7948
Ni 0.5644 0.4356 0.2052
Ni 0.5644 0.7948 0.4356
Ni 0.7052 0.0644 0.2948
Ni 0.7052 0.2948 0.9356
Ni 0.7052 0.9356 0.0644
Ni 0.7948 0.2052 0.4356
Ni 0.7948 0.4356 0.5644
Ni 0.7948 0.5644 0.2052
Ni 0.9356 0.0644 0.7052
Ni 0.9356 0.2948 0.0644
Ni 0.9356 0.7052 0.2948

Top 10 peaks for 2θ from 5° to 70°, sorted by position:
| two_theta | Rel. int. |
| --- | --- |
| 15.69 | 196 |
| 35.54 | 247 |
| 39.06 | 571 |
| 47.62 | 1000 |
| 48.34 | 244 |
| 51.13 | 122 |
| 56.43 | 69 |
| 58.95 | 86 |
| 61.41 | 103 |
| 68.48 | 80 |


[5]
TbPr2CrN4: computed X-ray powder pattern (copper Kα), based on a PBE-relaxed structure.

Lattice parameters (Å, degrees): 6.1486 6.1486 12.3300 90.00 90.00 147.37
Atoms (fractional coordinates):
Tb 0.1177 0.8823 0.7500
Tb 0.8823 0.1177 0.2500
Pr 0.3666 0.6334 0.5418
Pr 0.3666 0.6334 0.9582
Pr 0.6334 0.3666 0.0418
Pr 0.6334 0.3666 0.4582
Cr 0.1630 0.8370 0.2500
Cr 0.8370 0.1630 0.7500
N 0.0000 0.0000 0.0000
N 0.0000 0.0000 0.5000
N 0.2751 0.7249 0.1420
N 0.2751 0.7249 0.3580
N 0.4160 0.5840 0.7500
N 0.5840 0.4160 0.2500
N 0.7249 0.2751 0.6420
N 0.7249 0.2751 0.8580

Top 10 peaks for 2θ from 5° to 70°, sorted by position:
| two_theta | Rel. int. |
| --- | --- |
| 26.43 | 778 |
| 28.97 | 462 |
| 30.29 | 611 |
| 30.61 | 1000 |
| 35.33 | 336 |
| 37.59 | 934 |
| 42.41 | 292 |
| 45.86 | 360 |
| 51.09 | 229 |
| 54.37 | 233 |


[6]
TiNbRh3: computed X-ray powder pattern (copper Kα), based on a PBE-relaxed structure.

Lattice parameters (Å, degrees): 4.9395 4.9395 8.5735 94.57 94.57 47.23
Atoms (fractional coordinates):
Ti 0.1424 0.1424 0.0668
Ti 0.8576 0.8576 0.9332
Nb 0.3495 0.3495 0.4310
Nb 0.6505 0.6505 0.5690
Rh 0.0399 0.0399 0.3488
Rh 0.2646 0.2646 0.7553
Rh 0.4224 0.4224 0.1306
Rh 0.5776 0.5776 0.8694
Rh 0.7354 0.7354 0.2447
Rh 0.9601 0.9601 0.6512

Top 10 peaks for 2θ from 5° to 70°, sorted by position:
| two_theta | Rel. int. |
| --- | --- |
| 37.58 | 118 |
| 38.85 | 68 |
| 39.57 | 1000 |
| 39.81 | 906 |
| 43.75 | 351 |
| 45.86 | 341 |
| 48.75 | 220 |
| 65.24 | 206 |
| 67.22 | 86 |
| 69.16 | 149 |


[7]
BaNa2RuO4: computed X-ray powder pattern (copper Kα), based on a PBE-relaxed structure.

Lattice parameters (Å, degrees): 6.0263 6.0263 7.0190 90.00 90.00 90.00
Atoms (fractional coordinates):
Ba 0.0000 0.0000 0.0000
Ba 0.5000 0.5000 0.5000
Na 0.0000 0.5000 0.2500
Na 0.0000 0.5000 0.7500
Na 0.5000 0.0000 0.2500
Na 0.5000 0.0000 0.7500
Ru 0.0000 0.0000 0.5000
Ru 0.5000 0.5000 0.0000
O 0.1932 0.1932 0.3603
O 0.1932 0.8068 0.6397
O 0.3068 0.3068 0.8603
O 0.3068 0.6932 0.1397
O 0.6932 0.3068 0.1397
O 0.6932 0.6932 0.8603
O 0.8068 0.1932 0.6397
O 0.8068 0.8068 0.3603

Top 10 peaks for 2θ from 5° to 70°, sorted by position:
| two_theta | Rel. int. |
| --- | --- |
| 20.85 | 730 |
| 25.38 | 177 |
| 29.65 | 431 |
| 33.07 | 1000 |
| 39.41 | 280 |
| 42.42 | 304 |
| 47.72 | 120 |
| 50.08 | 122 |
| 54.82 | 456 |
| 61.11 | 203 |


[8]
CeYGaSi: computed X-ray powder pattern (copper Kα), based on a PBE-relaxed structure.

Lattice parameters (Å, degrees): 3.9929 4.3479 10.9320 90.00 90.00 90.00
Atoms (fractional coordinates):
Ce 0.0000 0.0000 0.0000
Ce 0.0000 0.5000 0.5000
Y 0.5000 0.0000 0.7170
Y 0.5000 0.5000 0.2170
Ga 0.5000 0.0000 0.4277
Ga 0.5000 0.5000 0.9277
Si 0.0000 0.0000 0.2820
Si 0.0000 0.5000 0.7820

Top 10 peaks for 2θ from 5° to 70°, sorted by position:
| two_theta | Rel. int. |
| --- | --- |
| 27.67 | 290 |
| 31.50 | 1000 |
| 32.05 | 455 |
| 32.77 | 225 |
| 39.37 | 420 |
| 39.98 | 183 |
| 41.54 | 234 |
| 45.43 | 180 |
| 56.67 | 175 |
| 63.25 | 262 |


[9]
Tm3Ga2Ni2: computed X-ray powder pattern (copper Kα), based on a PBE-relaxed structure.

Lattice parameters (Å, degrees): 5.4191 7.7870 12.8550 90.00 90.00 90.00
Atoms (fractional coordinates):
Tm 0.1398 0.2428 0.2500
Tm 0.1398 0.2572 0.7500
Tm 0.3479 0.6012 0.0998
Tm 0.3479 0.6012 0.4002
Tm 0.3479 0.8988 0.5998
Tm 0.3479 0.8988 0.9002
Tm 0.6521 0.1012 0.0998
Tm 0.6521 0.1012 0.4002
Tm 0.6521 0.3988 0.5998
Tm 0.6521 0.3988 0.9002
Tm 0.8602 0.7428 0.2500
Tm 0.8602 0.7572 0.7500
Ga 0.1526 0.2500 0.0000
Ga 0.1526 0.2500 0.5000
Ga 0.3581 0.6078 0.7500
Ga 0.3581 0.8922 0.2500
Ga 0.6419 0.1078 0.7500
Ga 0.6419 0.3922 0.2500
Ga 0.8474 0.7500 0.0000
Ga 0.8474 0.7500 0.5000
Ni 0.1281 0.5362 0.5905
Ni 0.1281 0.5362 0.9095
Ni 0.1281 0.9638 0.0905
Ni 0.1281 0.9638 0.4095
Ni 0.8719 0.0362 0.5905
Ni 0.8719 0.0362 0.9095
Ni 0.8719 0.4638 0.0905
Ni 0.8719 0.4638 0.4095

Top 10 peaks for 2θ from 5° to 70°, sorted by position:
| two_theta | Rel. int. |
| --- | --- |
| 28.93 | 390 |
| 31.03 | 532 |
| 34.43 | 774 |
| 35.07 | 793 |
| 35.28 | 597 |
| 36.24 | 549 |
| 38.45 | 1000 |
| 41.08 | 928 |
| 42.18 | 411 |
| 60.49 | 291 |


[10]
HoSc2AuC: computed X-ray powder pattern (copper Kα), based on a PBE-relaxed structure.

Lattice parameters (Å, degrees): 4.4490 4.4490 4.9413 90.00 90.00 90.00
Atoms (fractional coordinates):
Ho 0.0000 0.0000 0.0000
Sc 0.0000 0.5000 0.5001
Sc 0.5000 0.0000 0.5001
Au 0.5000 0.5000 0.9988
C 0.0000 0.0000 0.4996

Top 10 peaks for 2θ from 5° to 70°, sorted by position:
| two_theta | Rel. int. |
| --- | --- |
| 17.95 | 380 |
| 28.37 | 319 |
| 33.78 | 1000 |
| 36.36 | 225 |
| 40.55 | 331 |
| 44.67 | 169 |
| 46.75 | 170 |
| 55.59 | 259 |
| 63.78 | 158 |
| 69.46 | 245 |


[11]
La2TbZn3: computed X-ray powder pattern (copper Kα), based on a PBE-relaxed structure.

Lattice parameters (Å, degrees): 5.2341 5.2341 6.4299 90.00 90.00 120.00
Atoms (fractional coordinates):
La 0.3333 0.6667 0.1743
La 0.6667 0.3333 0.8257
Tb 0.0000 0.0000 0.5000
Zn 0.0000 0.0000 0.0000
Zn 0.3333 0.6667 0.6608
Zn 0.6667 0.3333 0.3392

Top 8 peaks for 2θ from 5° to 70°, sorted by position:
| two_theta | Rel. int. |
| --- | --- |
| 24.02 | 138 |
| 34.23 | 1000 |
| 42.16 | 10 |
| 42.28 | 31 |
| 49.19 | 178 |
| 55.46 | 58 |
| 61.17 | 89 |
| 61.33 | 271 |


[12]
Er5Mg2Fe2: computed X-ray powder pattern (copper Kα), based on a PBE-relaxed structure.

Lattice parameters (Å, degrees): 9.5097 9.5097 7.1411 90.00 90.00 43.63
Atoms (fractional coordinates):
Er 0.0000 0.0000 0.0000
Er 0.0736 0.7036 0.6851
Er 0.2036 0.5736 0.1851
Er 0.2964 0.9264 0.6851
Er 0.4264 0.7964 0.1851
Er 0.5000 0.5000 0.5000
Er 0.5736 0.2036 0.8149
Er 0.7036 0.0736 0.3149
Er 0.7964 0.4264 0.8149
Er 0.9264 0.2964 0.3149
Mg 0.2330 0.2330 0.0000
Mg 0.2670 0.2670 0.5000
Mg 0.7330 0.7330 0.5000
Mg 0.7670 0.7670 0.0000
Fe 0.1049 0.8951 0.3918
Fe 0.3951 0.6049 0.8918
Fe 0.6049 0.3951 0.1082
Fe 0.8951 0.1049 0.6082

Top 10 peaks for 2θ from 5° to 70°, sorted by position:
| two_theta | Rel. int. |
| --- | --- |
| 10.02 | 1000 |
| 28.18 | 214 |
| 28.46 | 216 |
| 31.93 | 197 |
| 32.25 | 489 |
| 32.45 | 487 |
| 34.86 | 430 |
| 35.75 | 239 |
| 38.03 | 333 |
| 40.89 | 200 |